[1]
Calculated XRD peak list
Compound: Te2Mo2SeS
Radiation: Cu Kα
Structure: a DFT-relaxed cell (PBE, the Materials Project)
Peak positions follow from Bragg's law for the DFT cell and can differ from measured ones.

Main lines, low angle first (2θ = 10–90°):
hkl	Position (°2θ)	I/Imax
0 0 5	11.45	82.5
1 0 0	30.37	59.2
0 1 8	35.71	100.0
0 1 10	38.43	18.6
1 0 13	43.25	54.2
1 1 0	53.94	34.9
2 0 8	66.37	15.7
1 1 21	76.25	16.2

Structural model:
a b c (Å): 3.4003 3.4003 38.6439
angles (deg): 90.00 90.00 120.00
Space group P3m1 (No. 156)
Unique sites:
Te: 0.0000 0.0000 0.0000 (multiplicity 1)
Te: 0.0000 0.0000 0.0970 (multiplicity 1)
Te: 0.0000 0.0000 0.3757 (multiplicity 1)
Te: 0.0000 0.0000 0.4727 (multiplicity 1)
Mo: 0.0000 0.0000 0.2364 (multiplicity 1)
Mo: 0.0000 0.0000 0.8606 (multiplicity 1)
Mo: 0.3333 0.6667 0.0485 (multiplicity 1)
Mo: 0.3333 0.6667 0.4242 (multiplicity 1)
Se: 0.3333 0.6667 0.8179 (multiplicity 1)
Se: 0.3333 0.6667 0.9033 (multiplicity 1)
S: 0.3333 0.6667 0.1975 (multiplicity 1)
S: 0.3333 0.6667 0.2752 (multiplicity 1)


[2]
Calculated XRD peak list
Compound: TeMoWSe2S
Radiation: Cu Kα
Structure: a DFT-relaxed cell (PBE, the Materials Project)
Peak positions follow from Bragg's law for the DFT cell and can differ from measured ones.

Main lines, low angle first (2θ = 10–90°):
hkl	Position (°2θ)	I/Imax
0 0 5	11.63	100.0
0 0 6	13.96	15.1
1 0 0	30.89	41.6
1 0 5	33.10	15.4
1 0 8	36.32	84.4
0 1 13	43.98	47.9
1 0 14	45.78	15.5
1 1 0	54.92	28.6

Structural model:
a b c (Å): 3.3440 3.3440 38.0501
angles (deg): 90.00 90.00 120.00
Space group P3m1 (No. 156)
Unique sites:
Te: 0.0000 0.0000 0.0000 (multiplicity 1)
Te: 0.0000 0.0000 0.1002 (multiplicity 1)
Mo: 0.0000 0.0000 0.8622 (multiplicity 1)
Mo: 0.3333 0.6667 0.6744 (multiplicity 1)
W: 0.0000 0.0000 0.4865 (multiplicity 1)
W: 0.3333 0.6667 0.0501 (multiplicity 1)
Se: 0.0000 0.0000 0.6306 (multiplicity 1)
Se: 0.0000 0.0000 0.7181 (multiplicity 1)
Se: 0.3333 0.6667 0.8184 (multiplicity 1)
Se: 0.3333 0.6667 0.9059 (multiplicity 1)
S: 0.3333 0.6667 0.4464 (multiplicity 1)
S: 0.3333 0.6667 0.5265 (multiplicity 1)


[3]
Calculated XRD peak list
Compound: TeMoWSe2S
Radiation: Cu Kα
Structure: a DFT-relaxed cell (PBE, the Materials Project)
Peak positions follow from Bragg's law for the DFT cell and can differ from measured ones.

Main lines, low angle first (2θ = 10–90°):
hkl	Position (°2θ)	I/Imax
0 0 5	11.64	100.0
0 0 6	13.97	21.1
1 0 0	30.92	46.3
1 0 5	33.13	15.4
0 1 8	36.35	83.4
1 0 13	44.02	46.9
1 0 14	45.82	15.6
1 1 0	54.98	26.3

Structural model:
a b c (Å): 3.3407 3.3407 38.0232
angles (deg): 90.00 90.00 120.00
Space group P3m1 (No. 156)
Unique sites:
Te: 0.0000 0.0000 0.0000 (multiplicity 1)
Te: 0.0000 0.0000 0.0997 (multiplicity 1)
Mo: 0.6667 0.3333 0.0498 (multiplicity 1)
Mo: 0.6667 0.3333 0.4256 (multiplicity 1)
W: 0.0000 0.0000 0.2377 (multiplicity 1)
W: 0.0000 0.0000 0.6135 (multiplicity 1)
Se: 0.0000 0.0000 0.3818 (multiplicity 1)
Se: 0.0000 0.0000 0.4694 (multiplicity 1)
Se: 0.6667 0.3333 0.5695 (multiplicity 1)
Se: 0.6667 0.3333 0.6575 (multiplicity 1)
S: 0.6667 0.3333 0.1977 (multiplicity 1)
S: 0.6667 0.3333 0.2778 (multiplicity 1)


[4]
Calculated XRD peak list
Compound: Te2MoWSeS
Radiation: Cu Kα
Structure: a DFT-relaxed cell (PBE, the Materials Project)
Peak positions follow from Bragg's law for the DFT cell and can differ from measured ones.

Main lines, low angle first (2θ = 10–90°):
hkl	Position (°2θ)	I/Imax
0 0 5	11.40	100.0
0 0 6	13.69	16.4
0 0 8	18.29	17.9
1 0 0	30.43	58.6
1 0 8	35.72	97.7
1 0 13	43.19	53.1
0 1 14	44.95	15.9
1 1 0	54.04	31.9

Structural model:
a b c (Å): 3.3941 3.3941 38.8066
angles (deg): 90.00 90.00 120.00
Space group P3m1 (No. 156)
Unique sites:
Te: 0.0000 0.0000 0.0000 (multiplicity 1)
Te: 0.0000 0.0000 0.0966 (multiplicity 1)
Te: 0.0000 0.0000 0.3757 (multiplicity 1)
Te: 0.0000 0.0000 0.4724 (multiplicity 1)
Mo: 0.6667 0.3333 0.0483 (multiplicity 1)
Mo: 0.6667 0.3333 0.4240 (multiplicity 1)
W: 0.0000 0.0000 0.2362 (multiplicity 1)
W: 0.0000 0.0000 0.6120 (multiplicity 1)
Se: 0.6667 0.3333 0.5693 (multiplicity 1)
Se: 0.6667 0.3333 0.6546 (multiplicity 1)
S: 0.6667 0.3333 0.1974 (multiplicity 1)
S: 0.6667 0.3333 0.2750 (multiplicity 1)


[5]
Calculated XRD peak list
Compound: Te2Mo3WSe4S2
Radiation: Cu Kα
Structure: a DFT-relaxed cell (PBE, the Materials Project)
Peak positions follow from Bragg's law for the DFT cell and can differ from measured ones.

Main lines, low angle first (2θ = 10–90°):
hkl	Position (°2θ)	I/Imax
0 0 5	11.15	100.0
0 0 6	13.39	16.2
1 0 0	30.89	44.2
1 0 8	35.90	65.3
1 0 9	37.14	14.3
0 1 13	43.05	50.3
1 0 14	44.73	17.3
1 1 0	54.92	28.8

Structural model:
a b c (Å): 3.3446 3.3446 39.6881
angles (deg): 90.00 90.00 120.00
Space group P3m1 (No. 156)
Unique sites:
Te: 0.0000 0.0000 0.0000 (multiplicity 1)
Te: 0.0000 0.0000 0.0958 (multiplicity 1)
Mo: 0.0000 0.0000 0.8607 (multiplicity 1)
Mo: 0.3333 0.6667 0.0479 (multiplicity 1)
Mo: 0.3333 0.6667 0.4250 (multiplicity 1)
W: 0.0000 0.0000 0.2377 (multiplicity 1)
Se: 0.0000 0.0000 0.3830 (multiplicity 1)
Se: 0.0000 0.0000 0.4670 (multiplicity 1)
Se: 0.3333 0.6667 0.1955 (multiplicity 1)
Se: 0.3333 0.6667 0.2799 (multiplicity 1)
S: 0.3333 0.6667 0.8225 (multiplicity 1)
S: 0.3333 0.6667 0.8989 (multiplicity 1)


[6]
Calculated XRD peak list
Compound: Te2MoW3Se2S4
Radiation: Cu Kα
Structure: a DFT-relaxed cell (PBE, the Materials Project)
Peak positions follow from Bragg's law for the DFT cell and can differ from measured ones.

Main lines, low angle first (2θ = 10–90°):
hkl	Position (°2θ)	I/Imax
0 0 5	11.94	100.0
0 0 6	14.34	23.7
1 0 0	31.23	37.7
1 0 5	33.53	14.5
1 0 8	36.88	79.0
0 1 13	44.85	38.0
1 0 14	46.72	14.0
1 1 0	55.55	26.2

Structural model:
a b c (Å): 3.3094 3.3094 37.0487
angles (deg): 90.00 90.00 120.00
Space group P3m1 (No. 156)
Unique sites:
Te: 0.0000 0.0000 0.0000 (multiplicity 1)
Te: 0.0000 0.0000 0.1039 (multiplicity 1)
Mo: 0.0000 0.0000 0.4882 (multiplicity 1)
W: 0.0000 0.0000 0.8638 (multiplicity 1)
W: 0.3333 0.6667 0.0520 (multiplicity 1)
W: 0.3333 0.6667 0.6760 (multiplicity 1)
Se: 0.0000 0.0000 0.6305 (multiplicity 1)
Se: 0.0000 0.0000 0.7216 (multiplicity 1)
S: 0.3333 0.6667 0.4469 (multiplicity 1)
S: 0.3333 0.6667 0.5294 (multiplicity 1)
S: 0.3333 0.6667 0.8225 (multiplicity 1)
S: 0.3333 0.6667 0.9052 (multiplicity 1)


[7]
Calculated XRD peak list
Compound: Te2MoW3Se2S4
Radiation: Cu Kα
Structure: a DFT-relaxed cell (PBE, the Materials Project)
Peak positions follow from Bragg's law for the DFT cell and can differ from measured ones.

Main lines, low angle first (2θ = 10–90°):
hkl	Position (°2θ)	I/Imax
0 0 5	10.94	100.0
0 0 6	13.14	20.2
1 0 0	31.24	28.7
1 0 5	33.17	12.4
1 0 8	36.03	47.7
0 1 13	42.92	36.8
1 0 14	44.55	12.3
1 1 0	55.56	20.1

Structural model:
a b c (Å): 3.3088 3.3088 40.4186
angles (deg): 90.00 90.00 120.00
Space group P3m1 (No. 156)
Unique sites:
Te: 0.0000 0.0000 0.0000 (multiplicity 1)
Te: 0.0000 0.0000 0.0952 (multiplicity 1)
Mo: 0.0000 0.0000 0.8604 (multiplicity 1)
W: 0.0000 0.0000 0.2396 (multiplicity 1)
W: 0.3333 0.6667 0.0476 (multiplicity 1)
W: 0.3333 0.6667 0.4254 (multiplicity 1)
Se: 0.3333 0.6667 0.1979 (multiplicity 1)
Se: 0.3333 0.6667 0.2813 (multiplicity 1)
S: 0.0000 0.0000 0.3875 (multiplicity 1)
S: 0.0000 0.0000 0.4633 (multiplicity 1)
S: 0.3333 0.6667 0.8227 (multiplicity 1)
S: 0.3333 0.6667 0.8982 (multiplicity 1)


[8]
Calculated XRD peak list
Compound: Te2MoW3Se2S4
Radiation: Cu Kα
Structure: a DFT-relaxed cell (PBE, the Materials Project)
Peak positions follow from Bragg's law for the DFT cell and can differ from measured ones.

Main lines, low angle first (2θ = 10–90°):
hkl	Position (°2θ)	I/Imax
0 0 5	10.96	100.0
0 0 6	13.16	19.4
1 0 0	31.24	30.1
0 1 7	34.97	11.9
1 0 8	36.05	49.0
0 1 13	42.95	37.1
1 0 14	44.58	12.8
1 1 0	55.57	20.7

Structural model:
a b c (Å): 3.3087 3.3087 40.3619
angles (deg): 90.00 90.00 120.00
Space group P3m1 (No. 156)
Unique sites:
Te: 0.0000 0.0000 0.0000 (multiplicity 1)
Te: 0.0000 0.0000 0.0953 (multiplicity 1)
Mo: 0.6667 0.3333 0.6707 (multiplicity 1)
W: 0.0000 0.0000 0.2354 (multiplicity 1)
W: 0.0000 0.0000 0.8569 (multiplicity 1)
W: 0.6667 0.3333 0.0476 (multiplicity 1)
Se: 0.6667 0.3333 0.8151 (multiplicity 1)
Se: 0.6667 0.3333 0.8987 (multiplicity 1)
S: 0.0000 0.0000 0.6328 (multiplicity 1)
S: 0.0000 0.0000 0.7085 (multiplicity 1)
S: 0.6667 0.3333 0.1974 (multiplicity 1)
S: 0.6667 0.3333 0.2734 (multiplicity 1)


[9]
Calculated XRD peak list
Compound: TeMoWSe2S
Radiation: Cu Kα
Structure: a DFT-relaxed cell (PBE, the Materials Project)
Peak positions follow from Bragg's law for the DFT cell and can differ from measured ones.

Main lines, low angle first (2θ = 10–90°):
hkl	Position (°2θ)	I/Imax
0 0 5	11.62	100.0
0 0 6	13.95	15.7
1 0 0	30.93	50.8
1 0 5	33.12	14.9
1 0 8	36.34	84.4
1 0 13	43.99	47.8
0 1 14	45.79	14.2
1 1 0	54.98	29.2

Structural model:
a b c (Å): 3.3407 3.3407 38.0775
angles (deg): 90.00 90.00 120.00
Space group P3m1 (No. 156)
Unique sites:
Te: 0.0000 0.0000 0.0000 (multiplicity 1)
Te: 0.0000 0.0000 0.0996 (multiplicity 1)
Mo: 0.6667 0.3333 0.0498 (multiplicity 1)
Mo: 0.6667 0.3333 0.6741 (multiplicity 1)
W: 0.0000 0.0000 0.2377 (multiplicity 1)
W: 0.0000 0.0000 0.8620 (multiplicity 1)
Se: 0.0000 0.0000 0.6303 (multiplicity 1)
Se: 0.0000 0.0000 0.7179 (multiplicity 1)
Se: 0.6667 0.3333 0.1937 (multiplicity 1)
Se: 0.6667 0.3333 0.2817 (multiplicity 1)
S: 0.6667 0.3333 0.8219 (multiplicity 1)
S: 0.6667 0.3333 0.9020 (multiplicity 1)


[10]
Calculated XRD peak list
Compound: Te2MoWSeS
Radiation: Cu Kα
Structure: a DFT-relaxed cell (PBE, the Materials Project)
Peak positions follow from Bragg's law for the DFT cell and can differ from measured ones.

Main lines, low angle first (2θ = 10–90°):
hkl	Position (°2θ)	I/Imax
0 0 5	11.40	100.0
1 0 0	30.42	53.5
0 1 7	34.52	17.1
1 0 8	35.70	93.1
1 0 9	37.01	26.2
0 1 13	43.18	53.4
1 0 14	44.94	16.9
1 1 0	54.01	37.5

Structural model:
a b c (Å): 3.3964 3.3964 38.8038
angles (deg): 90.00 90.00 120.00
Space group P3m1 (No. 156)
Unique sites:
Te: 0.0000 0.0000 0.0000 (multiplicity 1)
Te: 0.0000 0.0000 0.0965 (multiplicity 1)
Te: 0.3333 0.6667 0.1876 (multiplicity 1)
Te: 0.3333 0.6667 0.2847 (multiplicity 1)
Mo: 0.0000 0.0000 0.8604 (multiplicity 1)
Mo: 0.3333 0.6667 0.0482 (multiplicity 1)
W: 0.0000 0.0000 0.2362 (multiplicity 1)
W: 0.3333 0.6667 0.4240 (multiplicity 1)
Se: 0.3333 0.6667 0.8179 (multiplicity 1)
Se: 0.3333 0.6667 0.9029 (multiplicity 1)
S: 0.0000 0.0000 0.3851 (multiplicity 1)
S: 0.0000 0.0000 0.4629 (multiplicity 1)


[11]
Calculated XRD peak list
Compound: TeMoWSe2S
Radiation: Cu Kα
Structure: a DFT-relaxed cell (PBE, the Materials Project)
Peak positions follow from Bragg's law for the DFT cell and can differ from measured ones.

Main lines, low angle first (2θ = 10–90°):
hkl	Position (°2θ)	I/Imax
0 0 5	11.61	100.0
1 0 0	30.92	47.7
1 0 5	33.10	14.6
1 0 8	36.32	82.3
1 0 9	37.64	17.8
0 1 13	43.97	48.0
1 0 14	45.76	16.0
1 1 0	54.95	32.2

Structural model:
a b c (Å): 3.3428 3.3428 38.0960
angles (deg): 90.00 90.00 120.00
Space group P3m1 (No. 156)
Unique sites:
Te: 0.0000 0.0000 0.0000 (multiplicity 1)
Te: 0.0000 0.0000 0.0996 (multiplicity 1)
Mo: 0.6667 0.3333 0.0498 (multiplicity 1)
Mo: 0.6667 0.3333 0.6741 (multiplicity 1)
W: 0.0000 0.0000 0.2377 (multiplicity 1)
W: 0.0000 0.0000 0.8619 (multiplicity 1)
Se: 0.6667 0.3333 0.1938 (multiplicity 1)
Se: 0.6667 0.3333 0.2817 (multiplicity 1)
Se: 0.6667 0.3333 0.8180 (multiplicity 1)
Se: 0.6667 0.3333 0.9058 (multiplicity 1)
S: 0.0000 0.0000 0.6342 (multiplicity 1)
S: 0.0000 0.0000 0.7140 (multiplicity 1)


[12]
Calculated XRD peak list
Compound: Te2Mo3WSe4S2
Radiation: Cu Kα
Structure: a DFT-relaxed cell (PBE, the Materials Project)
Peak positions follow from Bragg's law for the DFT cell and can differ from measured ones.

Main lines, low angle first (2θ = 10–90°):
hkl	Position (°2θ)	I/Imax
0 0 5	11.63	100.0
0 0 6	13.97	20.0
1 0 0	30.89	42.2
0 1 8	36.32	88.9
0 1 10	39.09	21.6
1 0 13	43.99	50.4
1 0 14	45.79	15.1
1 1 0	54.91	28.8

Structural model:
a b c (Å): 3.3443 3.3443 38.0394
angles (deg): 90.00 90.00 120.00
Space group P3m1 (No. 156)
Unique sites:
Te: 0.0000 0.0000 0.0000 (multiplicity 1)
Te: 0.0000 0.0000 0.0997 (multiplicity 1)
Mo: 0.0000 0.0000 0.2378 (multiplicity 1)
Mo: 0.6667 0.3333 0.0498 (multiplicity 1)
Mo: 0.6667 0.3333 0.4256 (multiplicity 1)
W: 0.0000 0.0000 0.6135 (multiplicity 1)
Se: 0.6667 0.3333 0.1940 (multiplicity 1)
Se: 0.6667 0.3333 0.2816 (multiplicity 1)
Se: 0.6667 0.3333 0.5694 (multiplicity 1)
Se: 0.6667 0.3333 0.6576 (multiplicity 1)
S: 0.0000 0.0000 0.3858 (multiplicity 1)
S: 0.0000 0.0000 0.4655 (multiplicity 1)


[13]
Calculated XRD peak list
Compound: Te2MoW3Se2S4
Radiation: Cu Kα
Structure: a DFT-relaxed cell (PBE, the Materials Project)
Peak positions follow from Bragg's law for the DFT cell and can differ from measured ones.

Main lines, low angle first (2θ = 10–90°):
hkl	Position (°2θ)	I/Imax
0 0 5	10.64	100.0
0 0 6	12.78	16.0
1 0 0	31.32	28.1
1 0 5	33.14	12.0
1 0 8	35.85	42.3
0 1 13	42.42	35.9
1 0 14	43.97	11.4
1 1 0	55.70	16.9

Structural model:
a b c (Å): 3.3009 3.3009 41.5645
angles (deg): 90.00 90.00 120.00
Space group P3m1 (No. 156)
Unique sites:
Te: 0.0000 0.0000 0.0000 (multiplicity 1)
Te: 0.0000 0.0000 0.0927 (multiplicity 1)
Mo: 0.0000 0.0000 0.8550 (multiplicity 1)
W: 0.0000 0.0000 0.2345 (multiplicity 1)
W: 0.6667 0.3333 0.0464 (multiplicity 1)
W: 0.6667 0.3333 0.6693 (multiplicity 1)
Se: 0.6667 0.3333 0.8146 (multiplicity 1)
Se: 0.6667 0.3333 0.8955 (multiplicity 1)
S: 0.0000 0.0000 0.6323 (multiplicity 1)
S: 0.0000 0.0000 0.7063 (multiplicity 1)
S: 0.6667 0.3333 0.1975 (multiplicity 1)
S: 0.6667 0.3333 0.2714 (multiplicity 1)